Starting from a crystal structure in the Materials Project, relaxed with GGA-PBE, the powder X-ray diffraction pattern of CuC32N8F16 was calculated for Cu Kα X-rays.
No peak broadening, texture or thermal motion is included.

Peak list (8 most intense, 2θ from 10° to 90°, low angle first)
2θ 13.10, rel. 13.9
2θ 18.12, rel. 13.2
2θ 19.22, rel. 5.7
2θ 21.53, rel. 9.6
2θ 22.04, rel. 8.0
2θ 27.92, rel. 100.0
2θ 36.20, rel. 5.9
2θ 57.70, rel. 6.4

Structure:
```
data_CuC32N8F16
_chemical_formula_sum 'Cu1 C32 N8 F16'
_cell_length_a 4.9255
_cell_length_b 10.3164
_cell_length_c 14.9305
_cell_angle_alpha 73.58
_cell_angle_beta 87.83
_cell_angle_gamma 82.20
_symmetry_space_group_name_H-M 'P -1'
_symmetry_Int_Tables_number 2
_symmetry_space_group_name_Hall '-P 1'
loop_
_atom_site_label
_atom_site_type_symbol
_atom_site_fract_x
_atom_site_fract_y
_atom_site_fract_z
Cu1 Cu 0.0000 0.0000 0.0000
C1 C 0.1297 0.2318 0.8395
C2 C 0.1742 0.8974 0.2002
C3 C 0.2819 0.9707 0.6432
C4 C 0.2935 0.3445 0.8154
C5 C 0.3306 0.4441 0.7327
C6 C 0.3427 0.9069 0.7371
C7 C 0.3507 0.9250 0.2672
C8 C 0.3524 0.4668 0.1866
C9 C 0.3526 0.2220 0.9699
C10 C 0.3698 0.0806 0.1228
C11 C 0.3879 0.5673 0.1034
C12 C 0.4023 0.0859 0.5946
C13 C 0.4129 0.8612 0.3610
C14 C 0.4337 0.3386 0.8978
C15 C 0.4746 0.0407 0.2181
C16 C 0.4921 0.4610 0.2680
N1 N 0.0282 0.7940 0.2216
N2 N 0.1701 0.1620 0.9323
N3 N 0.1906 0.9930 0.1153
N4 N 0.4466 0.1849 0.0566
F1 F 0.1064 0.9212 0.5984
F2 F 0.1823 0.3740 0.1903
F3 F 0.2012 0.4528 0.6531
F4 F 0.2191 0.7972 0.7810
F5 F 0.2435 0.5696 0.0280
F6 F 0.2992 0.7519 0.4107
F7 F 0.3370 0.1452 0.5043
F8 F 0.4525 0.3630 0.3464
```